# 1
Starting from DFT lattice parameters and positions (GGA-PBE), the PXRD pattern of Ta2TiO6 was computed for Cu Kα (weighted mean of Kα1 and Kα2).

The 12 most intense peaks (15 to 90 degrees two-theta), by angle:
16.76°, intensity 21, (1 1 0)
21.33°, intensity 12, (2 0 0)
26.06°, intensity 100, (0 2 0)
34.87°, intensity 75, (1 1 2)
37.20°, intensity 29, (2 2 -2)
51.85°, intensity 34, (1 3 2)
51.94°, intensity 31, (1 1 -4)
53.53°, intensity 8, (0 4 0)
53.70°, intensity 8, (4 0 -4)
60.51°, intensity 10, (2 4 -2)
65.56°, intensity 19, (1 3 -4)
67.45°, intensity 13, (2 0 4)

Structural model:
```
data_Ta2TiO6
_space_group_name_H-M_alt 'C 1 2/m 1'
_space_group_IT_number 12
_cell_length_a 9.145
_cell_length_b 6.848
_cell_length_c 7.472
_cell_angle_alpha 90.00
_cell_angle_beta 114.35
_cell_angle_gamma 90.00
loop_
_space_group_symop_operation_xyz
'x,y,z'
'-x,-y,-z'
'-x,y,-z'
'x,-y,z'
'x+1/2,y+1/2,z'
'-x+1/2,-y+1/2,-z'
'-x+1/2,y+1/2,-z'
'x+1/2,-y+1/2,z'
loop_
_atom_site_label
_atom_site_fract_x
_atom_site_fract_y
_atom_site_fract_z
Ta1 0.171 0.000 0.171
Ta2 0.179 0.000 0.673
Ti1 0.000 0.500 0.000
Ti2 0.000 0.500 0.500
O1 0.000 0.194 0.000
O2 0.066 0.000 0.371
O3 0.102 0.500 0.305
O4 0.172 0.296 0.672
O5 0.239 0.500 0.034
```

---

# 2
Starting from DFT lattice parameters and positions (GGA-PBE), the PXRD pattern of Ta2TiO6 was computed for Cu Kα (weighted mean of Kα1 and Kα2).

The 12 most intense peaks (15 to 90 degrees two-theta), by angle:
18.37°, intensity 29, (1 1 -1)
25.97°, intensity 68, (0 2 0)
26.20°, intensity 67, (2 0 -2)
35.17°, intensity 100, (1 1 2)
37.23°, intensity 32, (2 2 -2)
39.88°, intensity 12, (2 2 1)
52.01°, intensity 42, (1 3 2)
52.21°, intensity 21, (5 1 -2)
52.33°, intensity 21, (1 1 -4)
53.92°, intensity 12, (4 0 -4)
60.80°, intensity 13, (4 2 -4)
65.75°, intensity 12, (5 3 -2)

Structural model:
```
data_Ta2TiO6
_space_group_name_H-M_alt 'C 1 2/m 1'
_space_group_IT_number 12
_cell_length_a 9.087
_cell_length_b 6.862
_cell_length_c 7.430
_cell_angle_alpha 90.00
_cell_angle_beta 114.74
_cell_angle_gamma 90.00
loop_
_space_group_symop_operation_xyz
'x,y,z'
'-x,-y,-z'
'-x,y,-z'
'x,-y,z'
'x+1/2,y+1/2,z'
'-x+1/2,-y+1/2,-z'
'-x+1/2,y+1/2,-z'
'x+1/2,-y+1/2,z'
loop_
_atom_site_label
_atom_site_fract_x
_atom_site_fract_y
_atom_site_fract_z
Ta1 0.000 0.000 0.000
Ta2 0.000 0.000 0.500
Ta3 0.179 0.500 0.179
Ti1 0.153 0.500 0.653
O1 0.000 0.300 0.000
O2 0.068 0.500 0.359
O3 0.095 0.000 0.297
O4 0.171 0.211 0.671
O5 0.229 0.000 0.030
```

---

# 3
Starting from DFT lattice parameters and positions (GGA-PBE), the PXRD pattern of TaTiTlO5 was computed for Cu Kα (weighted mean of Kα1 and Kα2).

The 12 most intense peaks (15 to 90 degrees two-theta), by angle:
23.01°, intensity 44, (1 0 4)
27.22°, intensity 100, (2 0 0)
27.42°, intensity 26, (1 1 1)
30.48°, intensity 62, (1 1 3)
31.16°, intensity 49, (1 0 6)
38.88°, intensity 26, (2 1 3)
40.53°, intensity 13, (0 1 7)
47.57°, intensity 16, (0 2 0)
49.53°, intensity 13, (2 1 7)
51.05°, intensity 14, (1 1 9)
55.69°, intensity 12, (2 2 0)
57.97°, intensity 17, (1 2 6)

Structural model:
```
data_TaTiTlO5
_space_group_name_H-M_alt 'P n m a'
_space_group_IT_number 62
_cell_length_a 6.544
_cell_length_b 3.823
_cell_length_c 19.161
_cell_angle_alpha 90.00
_cell_angle_beta 90.00
_cell_angle_gamma 90.00
loop_
_space_group_symop_operation_xyz
'x,y,z'
'-x,-y,-z'
'-x+1/2,-y,z+1/2'
'x+1/2,y,-z+1/2'
'x+1/2,-y+1/2,-z+1/2'
'-x+1/2,y+1/2,z+1/2'
'-x,y+1/2,-z'
'x,-y+1/2,z'
loop_
_atom_site_label
_atom_site_fract_x
_atom_site_fract_y
_atom_site_fract_z
Ta1 0.225 0.250 0.106
Ti1 0.181 0.250 0.465
Tl1 0.229 0.250 0.800
O1 0.031 0.250 0.383
O2 0.066 0.750 0.929
O3 0.147 0.750 0.491
O4 0.167 0.250 0.199
O5 0.237 0.750 0.078
```